Simulated X-ray powder pattern of HICl6 for Cu Kα X-rays, from a PBE-relaxed structure.

Most intense lines, 2θ from 10° to 90°, sorted by position:
(0 1 0), d = 6.401 Å, 13.84 deg, rel. 89
(0 0 1), d = 6.319 Å, 14.02 deg, rel. 100
(0 1 -1), d = 5.932 Å, 14.93 deg, rel. 62
(1 0 0), d = 5.873 Å, 15.09 deg, rel. 50
(1 1 -1), d = 4.311 Å, 20.60 deg, rel. 57
(-1 1 1), d = 3.924 Å, 22.66 deg, rel. 53

Crystal structure
a b c (Å): 6.3677 7.1718 7.2429
angles (deg): 111.12 105.42 99.54
Space group P1 (No. 1)
Inequivalent atoms, fractional coordinates:
1 H 0.0000 0.0000 0.0000 [1 per cell]
2 I 0.4308 0.6985 0.8909 [1 per cell]
3 Cl 0.1423 0.4348 0.8758 [1 per cell]
4 Cl 0.1708 0.7373 0.5973 [1 per cell]
5 Cl 0.3150 0.9733 0.1500 [1 per cell]
6 Cl 0.5404 0.4397 0.6409 [1 per cell]
7 Cl 0.7034 0.6819 0.1920 [1 per cell]
8 Cl 0.8131 0.0478 0.9203 [1 per cell]